This entry pairs a crystal structure of In2SiN2 with its simulated X-ray diffraction stick pattern. Radiation: copper Kα. Structure: a cell relaxed with PBE.
Peak positions follow from Bragg's law for the DFT cell and can differ from measured ones.

Most intense lines, 2θ from 10° to 80°, by angle:
2θ/deg  I_rel
18.88  16
23.42  45
30.44  64
35.91  100
43.59  35
49.70  15
50.07  12
57.71  48
63.35  11
67.81  16
71.90  11
75.03  12

a = 4.1523 Å, b = 4.1523 Å, c = 9.3985 Å
α = 90.00°, β = 90.00°, γ = 90.00°
Positions (direct):
In 0.0000 0.0000 0.1565
In 0.0000 0.0000 0.8435
In 0.5000 0.5000 0.3435
In 0.5000 0.5000 0.6565
Si 0.0000 0.0000 0.5000
Si 0.5000 0.5000 0.0000
N 0.0000 0.5000 0.2500
N 0.0000 0.5000 0.7500
N 0.5000 0.0000 0.2500
N 0.5000 0.0000 0.7500

=====

This entry pairs a crystal structure of Sm4InSnN with its simulated X-ray diffraction stick pattern. Radiation: copper Kα. Structure: a cell relaxed with PBE.
Peak positions follow from Bragg's law for the DFT cell and can differ from measured ones.

Most intense lines, 2θ from 10° to 80°, by angle:
2θ/deg  I_rel
10.80  15
26.01  14
28.23  75
32.80  32
34.12  100
37.11  61
50.36  38
53.49  21
61.57  17
62.89  18
64.18  18
64.99  31

a = 8.8779 Å, b = 8.8779 Å, c = 6.8530 Å
α = 90.00°, β = 90.00°, γ = 134.60°
Positions (direct):
Sm 0.0000 0.5000 0.0000
Sm 0.0000 0.5000 0.5000
Sm 0.0876 0.9124 0.7500
Sm 0.4118 0.5882 0.7500
Sm 0.5000 0.0000 0.0000
Sm 0.5000 0.0000 0.5000
Sm 0.5882 0.4118 0.2500
Sm 0.9124 0.0876 0.2500
In 0.1109 0.8891 0.2500
In 0.8891 0.1109 0.7500
Sn 0.3906 0.6094 0.2500
Sn 0.6094 0.3906 0.7500
N 0.2500 0.7500 0.7500
N 0.7500 0.2500 0.2500

=====

This entry pairs a crystal structure of Tb4InSnN with its simulated X-ray diffraction stick pattern. Radiation: copper Kα. Structure: a cell relaxed with PBE.
Peak positions follow from Bragg's law for the DFT cell and can differ from measured ones.

Most intense lines, 2θ from 10° to 80°, by angle:
2θ/deg  I_rel
10.98  16
26.59  13
28.85  74
33.35  32
34.81  100
37.96  60
51.41  38
54.77  24
63.08  17
64.10  18
65.66  18
66.55  31

a = 8.7296 Å, b = 8.7296 Å, c = 6.7041 Å
α = 90.00°, β = 90.00°, γ = 134.84°
Positions (direct):
Tb 0.0000 0.5000 0.0000
Tb 0.0000 0.5000 0.5000
Tb 0.0885 0.9115 0.7500
Tb 0.4103 0.5897 0.7500
Tb 0.5000 0.0000 0.0000
Tb 0.5000 0.0000 0.5000
Tb 0.5897 0.4103 0.2500
Tb 0.9115 0.0885 0.2500
In 0.1104 0.8896 0.2500
In 0.8896 0.1104 0.7500
Sn 0.3911 0.6089 0.2500
Sn 0.6089 0.3911 0.7500
N 0.2507 0.7493 0.7500
N 0.7493 0.2507 0.2500

=====

This entry pairs a crystal structure of Sr2InN2 with its simulated X-ray diffraction stick pattern. Radiation: copper Kα. Structure: a cell relaxed with PBE.
Peak positions follow from Bragg's law for the DFT cell and can differ from measured ones.

Most intense lines, 2θ from 10° to 80°, by angle:
2θ/deg  I_rel
27.60  22
28.59  36
31.07  55
32.85  24
33.28  100
38.02  17
39.60  11
47.46  21
51.40  13
58.09  18
59.46  15
69.87  12

a = 6.5947 Å, b = 6.5947 Å, c = 12.8715 Å
α = 90.00°, β = 90.00°, γ = 131.80°
Positions (direct):
Sr 0.0377 0.9623 0.8578
Sr 0.1408 0.8592 0.4503
Sr 0.3592 0.6408 0.9503
Sr 0.4623 0.5377 0.3578
Sr 0.5377 0.4623 0.6422
Sr 0.6408 0.3592 0.0497
Sr 0.8592 0.1408 0.5497
Sr 0.9623 0.0377 0.1422
In 0.2368 0.7632 0.6789
In 0.2632 0.7368 0.1789
In 0.7368 0.2632 0.8211
In 0.7632 0.2368 0.3211
N 0.0622 0.9378 0.6396
N 0.1538 0.8462 0.0505
N 0.3462 0.6538 0.5505
N 0.4378 0.5622 0.1396
N 0.5622 0.4378 0.8604
N 0.6538 0.3462 0.4495
N 0.8462 0.1538 0.9495
N 0.9378 0.0622 0.3604

=====

This entry pairs a crystal structure of InTe2N with its simulated X-ray diffraction stick pattern. Radiation: copper Kα. Structure: a cell relaxed with PBE.
Peak positions follow from Bragg's law for the DFT cell and can differ from measured ones.

Most intense lines, 2θ from 10° to 80°, by angle:
2θ/deg  I_rel
25.42  100
26.03  45
33.21  12
34.29  71
38.99  15
40.04  18
41.78  36
46.11  12
48.65  17
56.89  11
60.03  16
62.46  12

a = 5.9795 Å, b = 5.9795 Å, c = 12.5217 Å
α = 90.00°, β = 90.00°, γ = 90.00°
Positions (direct):
In 0.0000 0.0000 0.0000
In 0.0000 0.5000 0.2500
In 0.5000 0.0000 0.7500
In 0.5000 0.5000 0.5000
Te 0.1326 0.2500 0.6250
Te 0.2500 0.6326 0.8750
Te 0.2500 0.8674 0.3750
Te 0.3674 0.2500 0.1250
Te 0.6326 0.7500 0.1250
Te 0.7500 0.1326 0.3750
Te 0.7500 0.3674 0.8750
Te 0.8674 0.7500 0.6250
N 0.0000 0.0000 0.5000
N 0.0000 0.5000 0.7500
N 0.5000 0.0000 0.2500
N 0.5000 0.5000 0.0000

=====

This entry pairs a crystal structure of ThInTeN with its simulated X-ray diffraction stick pattern. Radiation: copper Kα. Structure: a cell relaxed with PBE.
Peak positions follow from Bragg's law for the DFT cell and can differ from measured ones.

Most intense lines, 2θ from 10° to 80°, by angle:
2θ/deg  I_rel
26.22  75
30.16  23
31.15  69
31.45  100
33.96  22
38.75  18
43.17  42
51.21  25
54.38  43
56.79  31
59.39  22
62.70  14

a = 4.1909 Å, b = 4.1909 Å, c = 11.6204 Å
α = 90.00°, β = 90.00°, γ = 90.00°
Positions (direct):
Th 0.2500 0.2500 0.0958
Th 0.7500 0.7500 0.9042
In 0.2500 0.7500 0.5000
In 0.7500 0.2500 0.5000
Te 0.2500 0.2500 0.7349
Te 0.7500 0.7500 0.2651
N 0.2500 0.7500 0.0000
N 0.7500 0.2500 0.0000